Computed powder diffractogram
Compound: CeNiSb3
Radiation: Cu Kα, 1.54184 Å
Structure: a crystal structure in the Materials Project, relaxed with PBE
Neutral-atom scattering factors, no anomalous dispersion.

Crystal structure
```
data_CeNiSb3
_cell_length_a 12.476
_cell_length_b 6.260
_cell_length_c 18.487
_cell_angle_alpha 90.00
_cell_angle_beta 90.00
_cell_angle_gamma 90.00
_space_group_name_H-M_alt 'P b c m'
_space_group_IT_number 57
loop_
_space_group_symop_operation_xyz
'x,y,z'
'-x,-y,-z'
'-x,-y,z+1/2'
'x,y,-z+1/2'
'x,-y+1/2,-z'
'-x,y+1/2,z'
'-x,y+1/2,-z+1/2'
'x,-y+1/2,z+1/2'
loop_
_atom_site_label
_atom_site_fract_x
_atom_site_fract_y
_atom_site_fract_z
Ce1 0.195 0.061 0.250
Ce2 0.200 0.527 0.084
Ni1 0.395 0.250 0.000
Ni2 0.399 0.674 0.676
Sb1 0.003 0.705 0.666
Sb2 0.004 0.250 0.000
Sb3 0.270 0.025 0.084
Sb4 0.270 0.561 0.250
Sb5 0.441 0.183 0.250
Sb6 0.472 0.541 0.087
```

Most intense lines, 5 to 70 degrees two-theta, sorted by position:
28.6 deg, I 49.6, (4 0 0); 29.0 deg, I 32.0, (0 0 6); 29.9 deg, I 35.5, (1 0 6); 32.0 deg, I 75.0, (2 2 0); 32.3 deg, I 25.9, (2 2 1); 32.4 deg, I 65.8, (2 0 6); 35.3 deg, I 100.0, (4 1 3); 35.9 deg, I 56.1, (3 2 0); 36.3 deg, I 78.2, (3 0 6); 37.6 deg, I 37.4, (0 2 5); 41.1 deg, I 91.6, (0 2 6); 50.9 deg, I 32.3, (4 2 6)

---

Computed powder diffractogram
Compound: Ce6SiNi4
Radiation: Cu Kα, 1.54184 Å
Structure: a crystal structure in the Materials Project, relaxed with PBE
Neutral-atom scattering factors, no anomalous dispersion.

Crystal structure
```
data_Ce6SiNi4
_cell_length_a 10.7714
_cell_length_b 10.7714
_cell_length_c 4.6816
_cell_angle_alpha 90.00
_cell_angle_beta 90.00
_cell_angle_gamma 120.00
_space_group_name_H-M_alt 'P 63/m'
_space_group_IT_number 176
_space_group_name_Hall '-P 6c'
loop_
_atom_site_label
_atom_site_fract_x
_atom_site_fract_y
_atom_site_fract_z
Ce1 0.0029 0.7644 0.2500
Ce2 0.1379 0.6141 0.7500
Si1 0.3333 0.6667 0.2500
Ni1 0.0000 0.0000 0.0000
Ni2 0.1418 0.4247 0.2500
```

Most intense lines, 5 to 70 degrees two-theta, sorted by position:
31.8 deg, I 100.0, (1 2 1); 34.7 deg, I 45.4, (1 3 0); 38.5 deg, I 21.6, (0 0 2); 38.6 deg, I 12.3, (4 0 0); 44.5 deg, I 22.5, (4 1 0); 46.6 deg, I 10.1, (1 2 2); 52.7 deg, I 8.3, (1 3 2); 55.7 deg, I 8.0, (2 4 1); 58.5 deg, I 13.3, (5 1 1); 60.2 deg, I 11.8, (4 1 2); 65.4 deg, I 12.3, (1 2 3); 65.6 deg, I 13.7, (2 5 1)

---

Computed powder diffractogram
Compound: Ce2Si5Ni17
Radiation: Cu Kα, 1.54184 Å
Structure: a crystal structure in the Materials Project, relaxed with PBE
Neutral-atom scattering factors, no anomalous dispersion.

Crystal structure
```
data_Ce2Si5Ni17
_cell_length_a 9.829
_cell_length_b 9.829
_cell_length_c 6.193
_cell_angle_alpha 90.00
_cell_angle_beta 90.00
_cell_angle_gamma 90.00
_space_group_name_H-M_alt 'I -4 m 2'
_space_group_IT_number 119
_space_group_name_Hall 'I -4 -2'
loop_
_atom_site_label
_atom_site_fract_x
_atom_site_fract_y
_atom_site_fract_z
Ce1 0.000 0.000 0.000
Ce2 0.000 0.500 0.250
Si1 0.000 0.000 0.500
Si2 0.000 0.265 0.628
Ni1 0.000 0.500 0.750
Ni2 0.123 0.196 0.317
Ni3 0.124 0.295 0.943
```

Most intense lines, 5 to 70 degrees two-theta, sorted by position:
25.6 deg, I 6.9, (2 2 0); 30.9 deg, I 15.0, (3 0 1); 36.0 deg, I 18.3, (3 2 1); 40.5 deg, I 10.8, (4 1 1); 41.1 deg, I 100.0, (4 2 0); 44.9 deg, I 18.1, (1 0 3); 47.2 deg, I 10.3, (4 0 2); 48.6 deg, I 21.7, (5 0 1); 51.0 deg, I 11.0, (4 2 2); 55.9 deg, I 6.3, (3 2 3); 62.3 deg, I 9.3, (5 4 1); 62.8 deg, I 6.2, (5 3 2)

---

Computed powder diffractogram
Compound: Ce2Si2Ni15
Radiation: Cu Kα, 1.54184 Å
Structure: a crystal structure in the Materials Project, relaxed with PBE
Neutral-atom scattering factors, no anomalous dispersion.

Crystal structure
```
data_Ce2Si2Ni15
_cell_length_a 8.2960
_cell_length_b 8.2960
_cell_length_c 8.2449
_cell_angle_alpha 90.00
_cell_angle_beta 90.00
_cell_angle_gamma 120.00
_space_group_name_H-M_alt 'P 63/m m c'
_space_group_IT_number 194
_space_group_name_Hall '-P 6c 2c'
loop_
_atom_site_label
_atom_site_fract_x
_atom_site_fract_y
_atom_site_fract_z
Ce1 0.0000 0.0000 0.2500
Ce2 0.3333 0.6667 0.2500
Si1 0.3333 0.6667 0.6041
Ni1 0.0000 0.5000 0.0000
Ni2 0.0351 0.3640 0.7500
Ni3 0.1676 0.3353 0.0165
```

Most intense lines, 5 to 70 degrees two-theta, sorted by position:
27.1 deg, I 6.8, (2 0 1); 30.6 deg, I 21.3, (1 1 2); 34.8 deg, I 7.6, (2 1 1); 37.6 deg, I 19.6, (3 0 0); 41.4 deg, I 15.2, (2 0 3); 43.7 deg, I 100.0, (3 0 2); 43.9 deg, I 24.5, (0 0 4); 49.2 deg, I 17.2, (2 2 2); 57.0 deg, I 4.9, (3 2 1); 59.1 deg, I 6.5, (3 0 4); 63.5 deg, I 7.5, (4 1 2); 63.6 deg, I 12.6, (2 2 4)

---

Computed powder diffractogram
Compound: Ce10Si5Ni
Radiation: Cu Kα, 1.54184 Å
Structure: a crystal structure in the Materials Project, relaxed with PBE
Neutral-atom scattering factors, no anomalous dispersion.

Crystal structure
```
data_Ce10Si5Ni
_cell_length_a 10.865
_cell_length_b 12.825
_cell_length_c 10.854
_cell_angle_alpha 90.00
_cell_angle_beta 90.00
_cell_angle_gamma 90.00
_space_group_name_H-M_alt 'F m m 2'
_space_group_IT_number 42
_space_group_name_Hall 'F 2 -2'
loop_
_atom_site_label
_atom_site_fract_x
_atom_site_fract_y
_atom_site_fract_z
Ce1 0.000 0.156 0.000
Ce2 0.000 0.156 0.356
Ce3 0.177 0.154 0.678
Ce4 0.250 0.000 0.429
Si1 0.000 0.000 0.563
Si2 0.115 0.000 0.179
Si3 0.250 0.250 0.429
Ni1 0.000 0.000 0.791
```

Most intense lines, 5 to 70 degrees two-theta, sorted by position:
26.9 deg, I 27.6, (1 1 3); 27.1 deg, I 28.3, (2 2 2); 32.4 deg, I 11.9, (0 4 2); 33.0 deg, I 19.9, (4 0 0); 33.5 deg, I 100.0, (3 3 1); 36.5 deg, I 38.1, (2 4 2); 37.0 deg, I 38.6, (2 0 4); 42.3 deg, I 16.5, (0 6 0); 49.5 deg, I 14.4, (3 1 5); 53.7 deg, I 29.3, (5 3 3); 57.4 deg, I 15.4, (2 6 4); 58.6 deg, I 14.9, (0 4 6)

---

Computed powder diffractogram
Compound: CeSiNi
Radiation: Cu Kα, 1.54184 Å
Structure: a crystal structure in the Materials Project, relaxed with PBE
Neutral-atom scattering factors, no anomalous dispersion.

Crystal structure
```
data_CeSiNi
_cell_length_a 4.011
_cell_length_b 4.011
_cell_length_c 14.056
_cell_angle_alpha 90.00
_cell_angle_beta 90.00
_cell_angle_gamma 90.00
_space_group_name_H-M_alt 'I 41 m d'
_space_group_IT_number 109
_space_group_name_Hall 'I 4bw -2'
loop_
_atom_site_label
_atom_site_fract_x
_atom_site_fract_y
_atom_site_fract_z
Ce1 0.000 0.000 0.000
Si1 0.000 0.000 0.582
Ni1 0.000 0.000 0.415
```

Most intense lines, 5 to 70 degrees two-theta, sorted by position:
23.1 deg, I 13.5, (1 0 1); 25.3 deg, I 13.5, (0 0 4); 29.3 deg, I 44.5, (1 0 3); 34.1 deg, I 100.0, (1 1 2); 39.1 deg, I 47.5, (1 0 5); 45.2 deg, I 34.3, (2 0 0); 50.9 deg, I 21.5, (1 0 7); 52.5 deg, I 7.6, (2 0 4); 54.8 deg, I 15.2, (2 1 3); 61.3 deg, I 24.6, (2 1 5); 64.0 deg, I 4.4, (1 0 9); 65.9 deg, I 10.8, (2 2 0)

---

Computed powder diffractogram
Compound: Ce2Si9Ni17
Radiation: Cu Kα, 1.54184 Å
Structure: a crystal structure in the Materials Project, relaxed with PBE
Neutral-atom scattering factors, no anomalous dispersion.

Crystal structure
```
data_Ce2Si9Ni17
_cell_length_a 10.844
_cell_length_b 11.266
_cell_length_c 11.420
_cell_angle_alpha 90.00
_cell_angle_beta 90.00
_cell_angle_gamma 90.00
_space_group_name_H-M_alt 'F m m m'
_space_group_IT_number 69
_space_group_name_Hall '-F 2 2'
loop_
_atom_site_label
_atom_site_fract_x
_atom_site_fract_y
_atom_site_fract_z
Ce1 0.250 0.250 0.250
Si1 0.000 0.000 0.000
Si2 0.000 0.181 0.121
Si3 0.173 0.000 0.383
Ni1 0.000 0.000 0.500
Ni2 0.000 0.127 0.315
Ni3 0.116 0.181 0.500
Ni4 0.127 0.000 0.185
Ni5 0.173 0.113 0.000
```

Most intense lines, 5 to 70 degrees two-theta, sorted by position:
27.7 deg, I 28.4, (2 2 2); 31.3 deg, I 40.6, (0 0 4); 35.5 deg, I 50.3, (0 4 2); 36.7 deg, I 59.3, (4 0 2); 39.1 deg, I 47.7, (2 2 4); 39.4 deg, I 100.0, (2 4 2); 40.1 deg, I 98.2, (4 2 2); 47.3 deg, I 37.1, (1 3 5); 47.6 deg, I 54.5, (1 5 3); 47.8 deg, I 62.3, (0 0 6); 48.3 deg, I 25.2, (3 5 1); 49.0 deg, I 32.4, (5 1 3)

---

Computed powder diffractogram
Compound: Ce3Si2Ni6
Radiation: Cu Kα, 1.54184 Å
Structure: a crystal structure in the Materials Project, relaxed with PBE
Neutral-atom scattering factors, no anomalous dispersion.

Crystal structure
```
data_Ce3Si2Ni6
_cell_length_a 8.819
_cell_length_b 8.819
_cell_length_c 8.819
_cell_angle_alpha 90.00
_cell_angle_beta 90.00
_cell_angle_gamma 90.00
_space_group_name_H-M_alt 'I m -3 m'
_space_group_IT_number 229
_space_group_name_Hall '-I 4 2 3'
loop_
_atom_site_label
_atom_site_fract_x
_atom_site_fract_y
_atom_site_fract_z
Ce1 0.000 0.000 0.280
Si1 0.250 0.250 0.250
Ni1 0.000 0.338 0.338
```

Most intense lines, 5 to 70 degrees two-theta, sorted by position:
20.1 deg, I 7.6, (2 0 0); 24.7 deg, I 12.3, (2 1 1); 28.6 deg, I 14.2, (2 2 0); 32.1 deg, I 29.7, (3 1 0); 35.3 deg, I 31.8, (2 2 2); 38.2 deg, I 35.4, (3 2 1); 40.9 deg, I 19.6, (4 0 0); 43.5 deg, I 100.0, (3 3 0); 57.2 deg, I 13.2, (5 2 1); 61.3 deg, I 9.7, (4 3 3); 63.3 deg, I 11.2, (6 0 0); 65.2 deg, I 19.2, (5 3 2)

---

Computed powder diffractogram
Compound: Ce2Si5Ni3
Radiation: Cu Kα, 1.54184 Å
Structure: a crystal structure in the Materials Project, relaxed with PBE
Neutral-atom scattering factors, no anomalous dispersion.

Crystal structure
```
data_Ce2Si5Ni3
_cell_length_a 9.565
_cell_length_b 11.350
_cell_length_c 5.740
_cell_angle_alpha 90.00
_cell_angle_beta 90.00
_cell_angle_gamma 90.00
_space_group_name_H-M_alt 'I b a m'
_space_group_IT_number 72
_space_group_name_Hall '-I 2 2c'
loop_
_atom_site_label
_atom_site_fract_x
_atom_site_fract_y
_atom_site_fract_z
Ce1 0.238 0.130 0.000
Si1 0.000 0.000 0.250
Si2 0.000 0.264 0.250
Si3 0.148 0.391 0.000
Ni1 0.000 0.500 0.250
Ni2 0.112 0.133 0.500
```

Most intense lines, 5 to 70 degrees two-theta, sorted by position:
18.6 deg, I 10.0, (2 0 0); 23.9 deg, I 37.3, (1 2 1); 31.2 deg, I 22.4, (0 0 2); 31.5 deg, I 20.9, (0 4 0); 35.9 deg, I 100.0, (3 2 1); 36.5 deg, I 52.7, (2 0 2); 36.8 deg, I 50.1, (2 4 0); 44.9 deg, I 58.9, (0 4 2); 53.0 deg, I 25.7, (5 2 1); 58.6 deg, I 23.7, (3 2 3); 59.0 deg, I 21.8, (3 6 1); 65.0 deg, I 9.9, (0 0 4)

---

Computed powder diffractogram
Compound: Ce3Si4Ni4
Radiation: Cu Kα, 1.54184 Å
Structure: a crystal structure in the Materials Project, relaxed with PBE
Neutral-atom scattering factors, no anomalous dispersion.

Crystal structure
```
data_Ce3Si4Ni4
_cell_length_a 3.981
_cell_length_b 4.051
_cell_length_c 23.559
_cell_angle_alpha 90.00
_cell_angle_beta 90.00
_cell_angle_gamma 90.00
_space_group_name_H-M_alt 'I m m m'
_space_group_IT_number 71
_space_group_name_Hall '-I 2 2'
loop_
_atom_site_label
_atom_site_fract_x
_atom_site_fract_y
_atom_site_fract_z
Ce1 0.000 0.000 0.000
Ce2 0.000 0.500 0.149
Si1 0.000 0.000 0.449
Si2 0.000 0.500 0.302
Ni1 0.000 0.000 0.250
Ni2 0.000 0.500 0.403
```

Most intense lines, 5 to 70 degrees two-theta, sorted by position:
24.7 deg, I 27.4, (0 1 3); 29.4 deg, I 9.8, (1 0 5); 34.9 deg, I 40.3, (1 0 7); 35.1 deg, I 100.0, (1 1 4); 41.1 deg, I 18.5, (0 1 9); 44.7 deg, I 21.7, (0 2 0); 45.6 deg, I 20.6, (2 0 0); 48.1 deg, I 14.3, (0 1 11); 55.7 deg, I 12.0, (1 0 13); 58.0 deg, I 18.3, (1 2 7); 63.0 deg, I 10.2, (2 1 9); 65.8 deg, I 13.3, (2 2 0)